For Pr6AlPb, DFT lattice parameters and positions (PBE) gives the simulated powder diffractogram in this record (copper Kα).
Lines closer than 0.1° are merged.

Atomic structure:
Unit cell a=4.9910 b=4.9910 c=9.9817 alpha=90.00 beta=90.00 gamma=90.00
Element x y z (fractional)
Pr 0.0000 0.0000 0.0000
Pr 0.0000 0.0000 0.5000
Pr 0.0000 0.5000 0.2433
Pr 0.0000 0.5000 0.7567
Pr 0.5000 0.0000 0.2433
Pr 0.5000 0.0000 0.7567
Al 0.5000 0.5000 0.0000
Pb 0.5000 0.5000 0.5000

Peak list (12 most intense, 10° ≤ 2θ ≤ 90°, low angle first)
d (Å)	2θ/deg	I_rel
4.464	19.89	8
3.327	26.79	7
2.882	31.04	100
2.768	32.34	2
2.495	35.99	50
2.178	41.45	3
1.765	51.81	36
1.505	61.63	42
1.441	64.70	12
1.248	76.32	6
1.145	84.64	17
1.116	87.38	16

For Tb2Sc4Si3H2, DFT lattice parameters and positions (PBE) gives the simulated powder diffractogram in this record (copper Kα).
Lines closer than 0.1° are merged.

Atomic structure:
Unit cell a=11.5697 b=11.5697 c=11.5697 alpha=158.69 beta=158.69 gamma=30.31
Element x y z (fractional)
Tb 0.1985 0.1985 0.0000
Tb 0.8015 0.8015 0.0000
Sc 0.0779 0.5779 0.5000
Sc 0.4221 0.9221 0.5000
Sc 0.5779 0.0779 0.5000
Sc 0.9221 0.4221 0.5000
Si 0.3336 0.3336 0.0000
Si 0.5000 0.5000 0.0000
Si 0.6664 0.6664 0.0000
H 0.0938 0.0938 0.0000
H 0.9062 0.9062 0.0000

Peak list (12 most intense, 10° ≤ 2θ ≤ 90°, low angle first)
d (Å)	2θ/deg	I_rel
3.709	23.99	80
3.090	28.90	60
3.025	29.53	22
2.920	30.62	100
2.792	32.06	28
2.558	35.09	51
2.348	38.34	61
2.139	42.25	56
1.853	49.17	24
1.759	52.00	25
1.698	54.00	25
1.641	56.05	26

For Mg2NbGeN4, DFT lattice parameters and positions (PBE) gives the simulated powder diffractogram in this record (copper Kα).
Lines closer than 0.1° are merged.

Atomic structure:
Unit cell a=6.7568 b=5.8152 c=5.3216 alpha=90.00 beta=90.00 gamma=90.00
Element x y z (fractional)
Mg 0.2485 0.1644 0.0000
Mg 0.2515 0.8356 0.5000
Mg 0.7485 0.8356 0.5000
Mg 0.7515 0.1644 0.0000
Nb 0.0000 0.6635 0.0026
Nb 0.5000 0.3365 0.5026
Ge 0.0000 0.3405 0.5024
Ge 0.5000 0.6595 0.0024
N 0.0000 0.3458 0.8614
N 0.0000 0.6523 0.3832
N 0.2387 0.1869 0.4005
N 0.2613 0.8131 0.9005
N 0.5000 0.3477 0.8832
N 0.5000 0.6542 0.3614
N 0.7387 0.8131 0.9005
N 0.7613 0.1869 0.4005

Peak list (12 most intense, 10° ≤ 2θ ≤ 90°, low angle first)
d (Å)	2θ/deg	I_rel
5.815	15.24	37
3.926	22.65	71
3.378	26.38	31
2.921	30.60	60
2.908	30.75	24
2.661	33.68	62
2.561	35.04	100
2.552	35.17	56
1.967	46.15	26
1.681	54.58	38
1.516	61.15	53
1.421	65.69	32

For Sr5Pd2Pb5, DFT lattice parameters and positions (PBE) gives the simulated powder diffractogram in this record (copper Kα).
Lines closer than 0.1° are merged.

Atomic structure:
Unit cell a=8.9261 b=8.9261 c=11.4805 alpha=127.14 beta=127.14 gamma=32.26
Element x y z (fractional)
Sr 0.0000 0.0000 0.0000
Sr 0.1303 0.1303 0.4348
Sr 0.1770 0.1770 0.8302
Sr 0.8230 0.8230 0.1698
Sr 0.8697 0.8697 0.5652
Pd 0.3473 0.3473 0.7560
Pd 0.6527 0.6527 0.2440
Pb 0.2470 0.2470 0.2710
Pb 0.4599 0.4599 0.1696
Pb 0.5000 0.5000 0.5000
Pb 0.5401 0.5401 0.8304
Pb 0.7530 0.7530 0.7290

Peak list (12 most intense, 10° ≤ 2θ ≤ 90°, low angle first)
d (Å)	2θ/deg	I_rel
4.649	19.09	30
4.465	19.89	20
3.726	23.88	15
3.311	26.93	21
3.027	29.51	100
2.951	30.29	29
2.664	33.64	82
2.480	36.22	49
2.119	42.67	15
1.898	47.92	19
1.555	59.43	16
1.517	61.07	18

For Ac4Pm3Pb5, DFT lattice parameters and positions (PBE) gives the simulated powder diffractogram in this record (copper Kα).
Lines closer than 0.1° are merged.

Atomic structure:
Unit cell a=7.4139 b=7.4139 c=12.7677 alpha=108.65 beta=108.65 gamma=45.44
Element x y z (fractional)
Ac 0.1061 0.1061 0.3048
Ac 0.1355 0.1355 0.9859
Ac 0.8645 0.8645 0.0141
Ac 0.8939 0.8939 0.6952
Pm 0.1936 0.1936 0.7130
Pm 0.5000 0.5000 0.5000
Pm 0.8064 0.8064 0.2870
Pb 0.0000 0.0000 0.5000
Pb 0.3733 0.3733 0.2152
Pb 0.4277 0.4277 0.8743
Pb 0.5723 0.5723 0.1257
Pb 0.6267 0.6267 0.7848

Peak list (12 most intense, 10° ≤ 2θ ≤ 90°, low angle first)
d (Å)	2θ/deg	I_rel
3.419	26.06	28
3.410	26.13	28
3.207	27.82	14
3.075	29.03	27
3.053	29.26	89
2.977	30.02	54
2.862	31.25	100
2.452	36.65	17
2.281	39.51	21
2.024	44.79	25
1.742	52.54	15
1.687	54.37	16

For Sm3MgHg12, DFT lattice parameters and positions (PBE) gives the simulated powder diffractogram in this record (copper Kα).
Lines closer than 0.1° are merged.

Atomic structure:
Unit cell a=4.6836 b=4.6836 c=18.0455 alpha=90.00 beta=90.00 gamma=90.00
Element x y z (fractional)
Sm 0.0000 0.0000 0.0000
Sm 0.0000 0.0000 0.2632
Sm 0.0000 0.0000 0.7368
Mg 0.0000 0.0000 0.5000
Hg 0.0000 0.5000 0.1287
Hg 0.0000 0.5000 0.3838
Hg 0.0000 0.5000 0.6162
Hg 0.0000 0.5000 0.8713
Hg 0.5000 0.0000 0.1287
Hg 0.5000 0.0000 0.3838
Hg 0.5000 0.0000 0.6162
Hg 0.5000 0.0000 0.8713
Hg 0.5000 0.5000 0.0000
Hg 0.5000 0.5000 0.2547
Hg 0.5000 0.5000 0.5000
Hg 0.5000 0.5000 0.7453

Peak list (12 most intense, 10° ≤ 2θ ≤ 90°, low angle first)
d (Å)	2θ/deg	I_rel
4.684	18.95	2
3.250	27.44	3
2.670	33.57	100
2.342	38.44	36
2.256	39.97	15
1.656	55.49	13
1.625	56.66	21
1.470	63.26	2
1.407	66.44	29
1.369	68.53	10
1.335	70.55	11
1.171	82.35	4

For Cr2AgTe4, DFT lattice parameters and positions (PBE) gives the simulated powder diffractogram in this record (copper Kα).
Lines closer than 0.1° are merged.

Atomic structure:
Unit cell a=8.1352 b=8.1352 c=8.1352 alpha=60.00 beta=60.00 gamma=60.00
Element x y z (fractional)
Cr 0.0000 0.0000 0.0000
Cr 0.0000 0.0000 0.5000
Cr 0.0000 0.5000 0.0000
Cr 0.5000 0.0000 0.0000
Ag 0.3750 0.3750 0.3750
Ag 0.6250 0.6250 0.6250
Te 0.2109 0.7630 0.7630
Te 0.2370 0.2370 0.2370
Te 0.2370 0.2370 0.7891
Te 0.2370 0.7891 0.2370
Te 0.7630 0.2109 0.7630
Te 0.7630 0.7630 0.2109
Te 0.7630 0.7630 0.7630
Te 0.7891 0.2370 0.2370

Peak list (12 most intense, 10° ≤ 2θ ≤ 90°, low angle first)
d (Å)	2θ/deg	I_rel
4.068	21.85	24
3.469	25.68	26
3.321	26.84	81
2.876	31.09	67
2.639	33.97	15
2.214	40.75	43
2.034	44.55	100
1.734	52.78	29
1.661	55.32	14
1.438	64.83	13
1.174	82.07	24
1.112	87.76	19

For La5Sm2YEr, DFT lattice parameters and positions (PBE) gives the simulated powder diffractogram in this record (copper Kα).
Lines closer than 0.1° are merged.

Atomic structure:
Unit cell a=10.5382 b=10.5382 c=10.5382 alpha=131.39 beta=131.39 gamma=71.19
Element x y z (fractional)
La 0.0000 0.0000 0.0000
La 0.0750 0.5750 0.9366
La 0.1385 0.0750 0.5000
La 0.3615 0.8615 0.9366
La 0.4250 0.3615 0.5000
La 0.5000 0.5000 0.0000
La 0.5750 0.6385 0.5000
La 0.6385 0.1385 0.0634
La 0.8615 0.9250 0.5000
La 0.9250 0.4250 0.0634
Sm 0.1228 0.3772 0.5000
Sm 0.3772 0.8772 0.2544
Sm 0.6228 0.1228 0.7456
Sm 0.8772 0.6228 0.5000
Y 0.2500 0.7500 0.5000
Y 0.7500 0.2500 0.5000
Er 0.2500 0.2500 0.0000
Er 0.7500 0.7500 0.0000

Peak list (12 most intense, 10° ≤ 2θ ≤ 90°, low angle first)
d (Å)	2θ/deg	I_rel
3.209	27.80	49
3.067	29.12	51
3.048	29.30	100
2.743	32.64	18
2.569	34.93	11
2.384	37.73	28
2.310	38.99	12
2.142	42.18	13
2.102	43.02	12
1.974	45.97	9
1.767	51.73	28
1.756	52.08	13

For Cs, DFT lattice parameters and positions (PBE) gives the simulated powder diffractogram in this record (copper Kα).
Lines closer than 0.1° are merged.

Atomic structure:
Unit cell a=5.4482 b=5.4482 c=5.4482 alpha=119.69 beta=119.69 gamma=90.54
Element x y z (fractional)
Cs 0.0000 0.0000 0.0000

Peak list (12 most intense, 10° ≤ 2θ ≤ 90°, low angle first)
d (Å)	2θ/deg	I_rel
4.455	19.93	100
3.871	22.98	36
3.834	23.20	17
2.737	32.72	14
2.724	32.88	28
2.332	38.61	36
2.316	38.89	18
2.228	40.49	16
1.775	51.48	8
1.768	51.70	15
1.578	58.50	11
1.489	62.35	9

For Cd4TeS3, DFT lattice parameters and positions (PBE) gives the simulated powder diffractogram in this record (copper Kα).
Lines closer than 0.1° are merged.

Atomic structure:
Unit cell a=14.3457 b=14.3457 c=14.3457 alpha=17.25 beta=17.25 gamma=17.25
Element x y z (fractional)
Cd 0.0000 0.0000 0.0000
Cd 0.2367 0.2367 0.2367
Cd 0.4908 0.4908 0.4908
Cd 0.7452 0.7452 0.7452
Te 0.3040 0.3040 0.3040
S 0.0601 0.0601 0.0601
S 0.5515 0.5515 0.5515
S 0.8058 0.8058 0.8058

Peak list (12 most intense, 10° ≤ 2θ ≤ 90°, low angle first)
d (Å)	2θ/deg	I_rel
3.532	25.21	28
3.516	25.33	100
3.048	29.30	13
2.679	33.45	6
2.159	41.84	37
2.152	41.99	45
1.842	49.47	12
1.837	49.63	40
1.524	60.77	12
1.396	67.02	12
1.244	76.61	12
1.242	76.71	7

For Tb12Ir6Pb, DFT lattice parameters and positions (PBE) gives the simulated powder diffractogram in this record (copper Kα).
Lines closer than 0.1° are merged.

Atomic structure:
Unit cell a=8.6672 b=8.6672 c=8.6672 alpha=109.47 beta=109.47 gamma=109.47
Element x y z (fractional)
Tb 0.1067 0.8059 0.3008
Tb 0.1941 0.3008 0.4949
Tb 0.1941 0.6992 0.8933
Tb 0.3008 0.1067 0.8059
Tb 0.3008 0.4949 0.1941
Tb 0.4949 0.1941 0.3008
Tb 0.5051 0.8059 0.6992
Tb 0.6992 0.5051 0.8059
Tb 0.6992 0.8933 0.1941
Tb 0.8059 0.3008 0.1067
Tb 0.8059 0.6992 0.5051
Tb 0.8933 0.1941 0.6992
Ir 0.1249 0.6249 0.5000
Ir 0.3751 0.5000 0.8751
Ir 0.5000 0.1249 0.6249
Ir 0.5000 0.8751 0.3751
Ir 0.6249 0.5000 0.1249
Ir 0.8751 0.3751 0.5000
Pb 0.0000 0.0000 0.0000

Peak list (12 most intense, 10° ≤ 2θ ≤ 90°, low angle first)
d (Å)	2θ/deg	I_rel
5.004	17.72	15
2.889	30.95	27
2.675	33.50	100
2.502	35.89	17
2.359	38.15	13
1.963	46.25	35
1.716	53.38	14
1.668	55.06	15
1.624	56.70	22
1.415	66.01	17
1.179	81.63	12
1.163	83.00	17

For Ti5ZnBi2, DFT lattice parameters and positions (PBE) gives the simulated powder diffractogram in this record (copper Kα).
Lines closer than 0.1° are merged.

Atomic structure:
Unit cell a=7.0985 b=7.0985 c=11.8401 alpha=90.00 beta=90.00 gamma=142.92
Element x y z (fractional)
Ti 0.1248 0.8752 0.6358
Ti 0.1248 0.8752 0.8642
Ti 0.2898 0.7102 0.2500
Ti 0.3022 0.6978 0.5093
Ti 0.3022 0.6978 0.9907
Ti 0.6978 0.3022 0.0093
Ti 0.6978 0.3022 0.4907
Ti 0.7102 0.2898 0.7500
Ti 0.8752 0.1248 0.1358
Ti 0.8752 0.1248 0.3642
Zn 0.3121 0.6879 0.7500
Zn 0.6879 0.3121 0.2500
Bi 0.0918 0.9082 0.1114
Bi 0.0918 0.9082 0.3886
Bi 0.9082 0.0918 0.6114
Bi 0.9082 0.0918 0.8886

Peak list (12 most intense, 10° ≤ 2θ ≤ 90°, low angle first)
d (Å)	2θ/deg	I_rel
5.851	15.14	66
4.280	20.75	100
3.404	26.18	31
3.365	26.49	25
3.073	29.05	32
2.710	33.06	28
2.477	36.26	46
2.435	36.92	85
2.312	38.95	78
2.257	39.94	42
2.223	40.59	25
2.167	41.67	25